[1]
This entry pairs a crystal structure of LiLa4MnO8 with its calculated X-ray powder pattern. Radiation: Cu Kα. Structure: a DFT-relaxed cell (GGA+U, the Materials Project).
Kinematic intensities with the Lorentz-polarization factor, no thermal factor.

The 12 most intense peaks (2θ = 10–80°), by angle:
24.2 deg, I 61; 27.6 deg, I 25; 31.3 deg, I 100; 33.0 deg, I 74; 42.2 deg, I 20; 43.6 deg, I 52; 47.4 deg, I 38; 54.0 deg, I 15; 55.3 deg, I 21; 55.8 deg, I 15; 57.9 deg, I 36; 75.8 deg, I 17

Crystal structure
Lattice parameters (Å, degrees): 13.4647 13.4647 13.4647 156.77 156.77 33.08
Positions (direct):
Li: 0.3750 0.6250 0.7500
Li: 0.6250 0.3750 0.2500
La: 0.0568 0.3068 0.7500
La: 0.1946 0.4446 0.7500
La: 0.3068 0.0568 0.2500
La: 0.4446 0.1946 0.2500
La: 0.5554 0.8054 0.7500
La: 0.6932 0.9432 0.7500
La: 0.8054 0.5554 0.2500
La: 0.9432 0.6932 0.2500
Mn: 0.1250 0.8750 0.2500
Mn: 0.8750 0.1250 0.7500
O: 0.0346 0.7846 0.2500
O: 0.1219 0.3719 0.2439
O: 0.1219 0.8781 0.7500
O: 0.2154 0.9654 0.2500
O: 0.2840 0.5340 0.7500
O: 0.3719 0.1219 0.7439
O: 0.3719 0.6281 0.2500
O: 0.4660 0.7160 0.7500
O: 0.5340 0.2840 0.2500
O: 0.6281 0.3719 0.7500
O: 0.6281 0.8781 0.2561
O: 0.7160 0.4660 0.2500
O: 0.7846 0.0346 0.7500
O: 0.8781 0.1219 0.2500
O: 0.8781 0.6281 0.7561
O: 0.9654 0.2154 0.7500

[2]
This entry pairs a crystal structure of NaMgFeO2 with its calculated X-ray powder pattern. Radiation: Cu Kα. Structure: a DFT-relaxed cell (GGA+U, the Materials Project).
Kinematic intensities with the Lorentz-polarization factor, no thermal factor.

The 12 most intense peaks (2θ = 10–80°), by angle:
10.9 deg, I 100; 33.0 deg, I 10; 33.1 deg, I 18; 35.5 deg, I 22; 37.3 deg, I 13; 41.6 deg, I 46; 52.8 deg, I 7; 57.5 deg, I 17; 58.7 deg, I 6; 62.9 deg, I 9; 67.9 deg, I 9; 73.4 deg, I 7

Crystal structure
Lattice parameters (Å, degrees): 3.2043 3.2043 24.4473 90.00 90.00 120.00
Positions (direct):
Na: 0.0000 0.0000 0.0000
Na: 0.3333 0.6667 0.6667
Na: 0.6667 0.3333 0.3333
Mg: 0.0000 0.0000 0.8642
Mg: 0.3333 0.6667 0.5309
Mg: 0.6667 0.3333 0.1975
Fe: 0.0000 0.0000 0.4316
Fe: 0.3333 0.6667 0.0982
Fe: 0.6667 0.3333 0.7649
O: 0.0000 0.0000 0.1631
O: 0.0000 0.0000 0.7272
O: 0.3333 0.6667 0.3939
O: 0.3333 0.6667 0.8298
O: 0.6667 0.3333 0.0605
O: 0.6667 0.3333 0.4965

[3]
This entry pairs a crystal structure of Ba2CoMoO6 with its calculated X-ray powder pattern. Radiation: Cu Kα. Structure: a DFT-relaxed cell (GGA+U, the Materials Project).
Kinematic intensities with the Lorentz-polarization factor, no thermal factor.

The 12 most intense peaks (2θ = 10–80°), by angle:
30.6 deg, I 100; 31.2 deg, I 47; 38.0 deg, I 15; 42.9 deg, I 17; 44.7 deg, I 30; 54.0 deg, I 20; 55.1 deg, I 37; 63.7 deg, I 19; 65.1 deg, I 9; 71.0 deg, I 9; 73.6 deg, I 8; 73.9 deg, I 8

Crystal structure
Lattice parameters (Å, degrees): 5.8482 5.8482 5.8482 121.28 121.28 87.79
Positions (direct):
Ba: 0.2500 0.7500 0.5000
Ba: 0.7500 0.2500 0.5000
Co: 0.0000 0.0000 0.0000
Mo: 0.5000 0.5000 0.0000
O: 0.2583 0.2583 0.5165
O: 0.2583 0.7417 0.0000
O: 0.2677 0.2677 0.0000
O: 0.7323 0.7323 0.0000
O: 0.7417 0.2583 0.0000
O: 0.7417 0.7417 0.4835

[4]
This entry pairs a crystal structure of SrCaTbCoO6 with its calculated X-ray powder pattern. Radiation: Cu Kα. Structure: a DFT-relaxed cell (GGA+U, the Materials Project).
Kinematic intensities with the Lorentz-polarization factor, no thermal factor.

The 12 most intense peaks (2θ = 10–80°), by angle:
19.1 deg, I 18; 22.0 deg, I 19; 31.4 deg, I 100; 37.0 deg, I 15; 45.0 deg, I 34; 49.3 deg, I 9; 50.6 deg, I 7; 55.9 deg, I 38; 59.6 deg, I 5; 65.5 deg, I 20; 68.9 deg, I 4; 74.4 deg, I 17

Crystal structure
Lattice parameters (Å, degrees): 5.7012 5.7012 5.7012 60.00 60.00 60.00
Positions (direct):
Sr: 0.0000 0.0000 0.0000
Ca: 0.5000 0.5000 0.5000
Tb: 0.7500 0.7500 0.7500
Co: 0.2500 0.2500 0.2500
O: 0.0208 0.0208 0.4792
O: 0.0208 0.4792 0.0208
O: 0.0208 0.4792 0.4792
O: 0.4792 0.0208 0.0208
O: 0.4792 0.0208 0.4792
O: 0.4792 0.4792 0.0208

[5]
This entry pairs a crystal structure of Li3Nb2VO6 with its calculated X-ray powder pattern. Radiation: Cu Kα. Structure: a DFT-relaxed cell (GGA+U, the Materials Project).
Kinematic intensities with the Lorentz-polarization factor, no thermal factor.

The 12 most intense peaks (2θ = 10–80°), by angle:
13.5 deg, I 10; 14.9 deg, I 9; 17.1 deg, I 100; 34.6 deg, I 22; 35.7 deg, I 29; 36.9 deg, I 13; 41.2 deg, I 21; 42.5 deg, I 41; 45.7 deg, I 19; 55.0 deg, I 8; 59.4 deg, I 13; 61.9 deg, I 10

Crystal structure
Lattice parameters (Å, degrees): 7.0016 7.0016 6.1932 105.80 105.80 24.13
Positions (direct):
Li: 0.0000 0.0000 0.0000
Li: 0.3407 0.3407 0.6597
Li: 0.6593 0.6593 0.3403
Nb: 0.3230 0.3230 0.1447
Nb: 0.6770 0.6770 0.8553
V: 0.0000 0.0000 0.5000
O: 0.1558 0.1558 0.0994
O: 0.1595 0.1595 0.5898
O: 0.4889 0.4889 0.2636
O: 0.5111 0.5111 0.7364
O: 0.8405 0.8405 0.4102
O: 0.8442 0.8442 0.9006